Record 1
This entry pairs a crystal structure of Ce2Sn2Ru3 with its theoretical XRD peak list. Radiation: Cu Kα, 1.54184 Å. Structure: DFT lattice parameters and positions (GGA-PBE).
Lines closer than 0.1° are merged.

Peak list (10 most intense, 10 to 90 degrees two-theta, sorted by position)
d 4.714, 18.83 deg, I = 19; d 2.874, 31.12 deg, I = 76; d 2.752, 32.54 deg, I = 100; d 2.410, 37.31 deg, I = 67; d 2.162, 41.77 deg, I = 46; d 2.069, 43.75 deg, I = 29; d 1.960, 46.33 deg, I = 37; d 1.695, 54.10 deg, I = 19; d 1.684, 54.50 deg, I = 22; d 1.644, 55.94 deg, I = 17

Atomic structure:
abc: 3.9565 6.1357 6.7589
angles: 83.01 77.99 84.48
Fractional coordinates of all 7 atoms:
1 Ce 0.1007 0.1294 0.2270
2 Ce 0.8993 0.8706 0.7730
3 Sn 0.3715 0.3407 0.7192
4 Sn 0.6285 0.6593 0.2808
5 Ru 0.2348 0.6587 0.9917
6 Ru 0.5000 0.0000 0.5000
7 Ru 0.7652 0.3413 0.0083

=====

Record 2
This entry pairs a crystal structure of La2Al3Cu12Au with its theoretical XRD peak list. Radiation: Cu Kα, 1.54184 Å. Structure: DFT lattice parameters and positions (GGA-PBE).
Lines closer than 0.1° are merged.

Peak list (10 most intense, 10 to 90 degrees two-theta, sorted by position)
d 4.976, 17.83 deg, I = 32; d 2.918, 30.63 deg, I = 100; d 2.571, 34.89 deg, I = 72; d 2.490, 36.07 deg, I = 53; d 2.312, 38.95 deg, I = 47; d 2.194, 41.13 deg, I = 24; d 2.124, 42.57 deg, I = 34; d 1.742, 52.55 deg, I = 27; d 1.659, 55.40 deg, I = 34; d 1.535, 60.31 deg, I = 30

Atomic structure:
abc: 10.0608 10.0608 10.0608
angles: 35.53 35.53 35.53
Fractional coordinates of all 18 atoms:
1 La 0.1497 0.1497 0.1497
2 La 0.8503 0.8503 0.8503
3 Al 0.0000 0.5000 0.5000
4 Al 0.5000 0.0000 0.5000
5 Al 0.5000 0.5000 0.0000
6 Cu 0.0820 0.0820 0.6909
7 Cu 0.0820 0.6909 0.0820
8 Cu 0.1391 0.5701 0.5701
9 Cu 0.3091 0.9180 0.9180
10 Cu 0.4299 0.4299 0.8609
11 Cu 0.4299 0.8609 0.4299
12 Cu 0.5701 0.1391 0.5701
13 Cu 0.5701 0.5701 0.1391
14 Cu 0.6909 0.0820 0.0820
15 Cu 0.8609 0.4299 0.4299
16 Cu 0.9180 0.3091 0.9180
17 Cu 0.9180 0.9180 0.3091
18 Au 0.5000 0.5000 0.5000

=====

Record 3
This entry pairs a crystal structure of VCr3W4 with its theoretical XRD peak list. Radiation: Cu Kα, 1.54184 Å. Structure: DFT lattice parameters and positions (GGA-PBE).
Lines closer than 0.1° are merged.

Peak list (10 most intense, 10 to 90 degrees two-theta, sorted by position)
d 3.051, 29.27 deg, I = 13; d 3.041, 29.38 deg, I = 26; d 2.152, 41.97 deg, I = 100; d 1.757, 52.04 deg, I = 11; d 1.525, 60.71 deg, I = 5; d 1.520, 60.94 deg, I = 11; d 1.363, 68.86 deg, I = 5; d 1.360, 69.05 deg, I = 10; d 1.244, 76.58 deg, I = 11; d 1.242, 76.74 deg, I = 22

Atomic structure:
abc: 3.0405 3.0405 12.2036
angles: 90.00 90.00 90.00
Fractional coordinates of all 8 atoms:
1 V 0.0000 0.0000 0.0000
2 Cr 0.0000 0.0000 0.2519
3 Cr 0.0000 0.0000 0.5000
4 Cr 0.0000 0.0000 0.7481
5 W 0.5000 0.5000 0.1282
6 W 0.5000 0.5000 0.3761
7 W 0.5000 0.5000 0.6239
8 W 0.5000 0.5000 0.8718

=====

Record 4
This entry pairs a crystal structure of PmDy4Ir4 with its theoretical XRD peak list. Radiation: Cu Kα, 1.54184 Å. Structure: DFT lattice parameters and positions (GGA-PBE).
Lines closer than 0.1° are merged.

Peak list (10 most intense, 10 to 90 degrees two-theta, sorted by position)
d 6.323, 14.01 deg, I = 16; d 2.828, 31.64 deg, I = 100; d 2.697, 33.22 deg, I = 47; d 2.309, 39.01 deg, I = 25; d 2.271, 39.68 deg, I = 20; d 2.052, 44.14 deg, I = 31; d 2.025, 44.75 deg, I = 15; d 2.000, 45.35 deg, I = 35; d 1.865, 48.84 deg, I = 29; d 1.265, 75.12 deg, I = 16

Atomic structure:
abc: 8.9424 8.9424 5.6563
angles: 90.00 90.00 90.00
Fractional coordinates of all 18 atoms:
1 Pm 0.2500 0.2500 0.2500
2 Pm 0.7500 0.7500 0.7500
3 Dy 0.0808 0.6575 0.1421
4 Dy 0.1575 0.9192 0.6421
5 Dy 0.3425 0.5808 0.6421
6 Dy 0.4192 0.8425 0.1421
7 Dy 0.5808 0.1575 0.8579
8 Dy 0.6575 0.4192 0.3579
9 Dy 0.8425 0.0808 0.3579
10 Dy 0.9192 0.3425 0.8579
11 Ir 0.0328 0.6164 0.6426
12 Ir 0.1164 0.9672 0.1426
13 Ir 0.3836 0.5328 0.1426
14 Ir 0.4672 0.8836 0.6426
15 Ir 0.5328 0.1164 0.3574
16 Ir 0.6164 0.4672 0.8574
17 Ir 0.8836 0.0328 0.8574
18 Ir 0.9672 0.3836 0.3574

=====

Record 5
This entry pairs a crystal structure of Re5Pt3 with its theoretical XRD peak list. Radiation: Cu Kα, 1.54184 Å. Structure: DFT lattice parameters and positions (GGA-PBE).
Lines closer than 0.1° are merged.

Peak list (10 most intense, 10 to 90 degrees two-theta, sorted by position)
d 2.416, 37.22 deg, I = 71; d 2.232, 40.41 deg, I = 75; d 2.133, 42.38 deg, I = 98; d 2.123, 42.59 deg, I = 100; d 2.118, 42.70 deg, I = 95; d 1.394, 67.16 deg, I = 34; d 1.272, 74.62 deg, I = 19; d 1.267, 74.99 deg, I = 19; d 1.185, 81.18 deg, I = 20; d 1.180, 81.62 deg, I = 20

Atomic structure:
abc: 7.1252 7.1252 5.2886
angles: 108.78 108.78 85.27
Fractional coordinates of all 16 atoms:
1 Re 0.0443 0.9557 0.7500
2 Re 0.1637 0.5799 0.5069
3 Re 0.2033 0.2862 0.7417
4 Re 0.2862 0.2033 0.2417
5 Re 0.4201 0.8363 0.9931
6 Re 0.5799 0.1637 0.0069
7 Re 0.7138 0.7967 0.7583
8 Re 0.7967 0.7138 0.2583
9 Re 0.8363 0.4201 0.4931
10 Re 0.9557 0.0443 0.2500
11 Pt 0.0791 0.6656 0.9951
12 Pt 0.3345 0.9209 0.5049
13 Pt 0.4575 0.5425 0.2500
14 Pt 0.5425 0.4575 0.7500
15 Pt 0.6656 0.0791 0.4951
16 Pt 0.9209 0.3345 0.0049

=====

Record 6
This entry pairs a crystal structure of CsInCu6O8 with its theoretical XRD peak list. Radiation: Cu Kα, 1.54184 Å. Structure: DFT lattice parameters and positions (GGA-PBE).
Lines closer than 0.1° are merged.

Peak list (10 most intense, 10 to 90 degrees two-theta, sorted by position)
d 4.689, 18.92 deg, I = 4; d 3.316, 26.89 deg, I = 8; d 2.828, 31.64 deg, I = 3; d 2.707, 33.09 deg, I = 100; d 2.345, 38.39 deg, I = 34; d 2.097, 43.14 deg, I = 6; d 1.658, 55.42 deg, I = 42; d 1.414, 66.08 deg, I = 37; d 1.354, 69.43 deg, I = 8; d 1.172, 82.23 deg, I = 6

Atomic structure:
abc: 6.6318 6.6318 6.6318
angles: 60.00 60.00 60.00
Fractional coordinates of all 16 atoms:
1 Cs 0.0000 0.0000 0.0000
2 In 0.5000 0.5000 0.5000
3 Cu 0.0000 0.0000 0.5000
4 Cu 0.0000 0.5000 0.0000
5 Cu 0.0000 0.5000 0.5000
6 Cu 0.5000 0.0000 0.0000
7 Cu 0.5000 0.0000 0.5000
8 Cu 0.5000 0.5000 0.0000
9 O 0.0725 0.6425 0.6425
10 O 0.3575 0.3575 0.3575
11 O 0.3575 0.3575 0.9275
12 O 0.3575 0.9275 0.3575
13 O 0.6425 0.0725 0.6425
14 O 0.6425 0.6425 0.0725
15 O 0.6425 0.6425 0.6425
16 O 0.9275 0.3575 0.3575

=====

Record 7
This entry pairs a crystal structure of Pm6Er7Tm16 with its theoretical XRD peak list. Radiation: Cu Kα, 1.54184 Å. Structure: DFT lattice parameters and positions (GGA-PBE).
Lines closer than 0.1° are merged.

Peak list (10 most intense, 10 to 90 degrees two-theta, sorted by position)
d 3.192, 27.95 deg, I = 8; d 3.010, 29.68 deg, I = 23; d 2.764, 32.39 deg, I = 100; d 2.643, 33.91 deg, I = 9; d 2.036, 44.50 deg, I = 10; d 1.955, 46.46 deg, I = 12; d 1.596, 57.77 deg, I = 22; d 1.572, 58.75 deg, I = 8; d 1.512, 61.32 deg, I = 9; d 1.169, 82.53 deg, I = 8

Atomic structure:
abc: 11.0577 11.0577 11.0577
angles: 60.00 60.00 60.00
Fractional coordinates of all 29 atoms:
1 Pm 0.2173 0.2173 0.7827
2 Pm 0.2173 0.7827 0.2173
3 Pm 0.2173 0.7827 0.7827
4 Pm 0.7827 0.2173 0.2173
5 Pm 0.7827 0.2173 0.7827
6 Pm 0.7827 0.7827 0.2173
7 Er 0.0000 0.0000 0.5000
8 Er 0.0000 0.5000 0.0000
9 Er 0.0000 0.5000 0.5000
10 Er 0.5000 0.0000 0.0000
11 Er 0.5000 0.0000 0.5000
12 Er 0.5000 0.5000 0.0000
13 Er 0.5000 0.5000 0.5000
14 Tm 0.1332 0.6223 0.6223
15 Tm 0.1546 0.1546 0.1546
16 Tm 0.1546 0.1546 0.5362
17 Tm 0.1546 0.5362 0.1546
18 Tm 0.3777 0.3777 0.3777
19 Tm 0.3777 0.3777 0.8668
20 Tm 0.3777 0.8668 0.3777
21 Tm 0.4638 0.8454 0.8454
22 Tm 0.5362 0.1546 0.1546
23 Tm 0.6223 0.1332 0.6223
24 Tm 0.6223 0.6223 0.1332
25 Tm 0.6223 0.6223 0.6223
26 Tm 0.8454 0.4638 0.8454
27 Tm 0.8454 0.8454 0.4638
28 Tm 0.8454 0.8454 0.8454
29 Tm 0.8668 0.3777 0.3777

=====

Record 8
This entry pairs a crystal structure of Tm4HgPtRh2 with its theoretical XRD peak list. Radiation: Cu Kα, 1.54184 Å. Structure: DFT lattice parameters and positions (GGA-PBE).
Lines closer than 0.1° are merged.

Peak list (10 most intense, 10 to 90 degrees two-theta, sorted by position)
d 2.465, 36.45 deg, I = 99; d 2.445, 36.76 deg, I = 100; d 1.736, 52.74 deg, I = 35; d 1.427, 65.40 deg, I = 17; d 1.415, 66.01 deg, I = 35; d 1.411, 66.21 deg, I = 18; d 1.232, 77.44 deg, I = 10; d 1.222, 78.20 deg, I = 12; d 1.101, 88.94 deg, I = 15; d 1.095, 89.49 deg, I = 16

Atomic structure:
abc: 8.5624 8.5624 8.5624
angles: 33.18 33.18 33.18
Fractional coordinates of all 8 atoms:
1 Tm 0.1197 0.1197 0.1197
2 Tm 0.3713 0.3713 0.3713
3 Tm 0.6287 0.6287 0.6287
4 Tm 0.8803 0.8803 0.8803
5 Hg 0.5000 0.5000 0.5000
6 Pt 0.0000 0.0000 0.0000
7 Rh 0.2514 0.2514 0.2514
8 Rh 0.7486 0.7486 0.7486

=====

Record 9
This entry pairs a crystal structure of BaLiYCu2O5 with its theoretical XRD peak list. Radiation: Cu Kα, 1.54184 Å. Structure: DFT lattice parameters and positions (GGA-PBE).
Lines closer than 0.1° are merged.

Peak list (10 most intense, 10 to 90 degrees two-theta, sorted by position)
d 5.242, 16.91 deg, I = 25; d 3.614, 24.63 deg, I = 20; d 3.103, 28.77 deg, I = 43; d 2.722, 32.90 deg, I = 50; d 2.588, 34.67 deg, I = 100; d 2.416, 37.22 deg, I = 14; d 1.925, 47.22 deg, I = 35; d 1.661, 55.30 deg, I = 16; d 1.544, 59.89 deg, I = 40; d 1.470, 63.24 deg, I = 14

Atomic structure:
abc: 3.8500 3.8500 10.4833
angles: 90.00 90.00 90.00
Fractional coordinates of all 10 atoms:
1 Ba 0.0000 0.0000 0.0000
2 Li 0.0000 0.0000 0.6058
3 Y 0.0000 0.0000 0.3527
4 Cu 0.5000 0.5000 0.1868
5 Cu 0.5000 0.5000 0.5322
6 O 0.0000 0.5000 0.2332
7 O 0.0000 0.5000 0.5198
8 O 0.5000 0.0000 0.2332
9 O 0.5000 0.0000 0.5198
10 O 0.5000 0.5000 0.9811

=====

Record 10
This entry pairs a crystal structure of Dy4Pd3Ru with its theoretical XRD peak list. Radiation: Cu Kα, 1.54184 Å. Structure: DFT lattice parameters and positions (GGA-PBE).
Lines closer than 0.1° are merged.

Peak list (10 most intense, 10 to 90 degrees two-theta, sorted by position)
d 2.468, 36.41 deg, I = 100; d 2.441, 36.82 deg, I = 49; d 1.765, 51.81 deg, I = 9; d 1.726, 53.06 deg, I = 17; d 1.430, 65.24 deg, I = 17; d 1.414, 66.05 deg, I = 35; d 1.234, 77.33 deg, I = 11; d 1.114, 87.62 deg, I = 8; d 1.094, 89.60 deg, I = 8; d 1.092, 89.85 deg, I = 8

Atomic structure:
abc: 3.4521 3.4521 14.1175
angles: 90.00 90.00 90.00
Fractional coordinates of all 8 atoms:
1 Dy 0.0000 0.0000 0.1178
2 Dy 0.0000 0.0000 0.3729
3 Dy 0.0000 0.0000 0.6271
4 Dy 0.0000 0.0000 0.8822
5 Pd 0.5000 0.5000 0.2490
6 Pd 0.5000 0.5000 0.5000
7 Pd 0.5000 0.5000 0.7510
8 Ru 0.5000 0.5000 0.0000

=====

Record 11
This entry pairs a crystal structure of CeMgBRh4 with its theoretical XRD peak list. Radiation: Cu Kα, 1.54184 Å. Structure: DFT lattice parameters and positions (GGA-PBE).
Lines closer than 0.1° are merged.

Peak list (10 most intense, 10 to 90 degrees two-theta, sorted by position)
d 5.345, 16.59 deg, I = 29; d 2.693, 33.27 deg, I = 78; d 2.672, 33.53 deg, I = 76; d 2.211, 40.81 deg, I = 54; d 2.203, 40.97 deg, I = 66; d 2.192, 41.19 deg, I = 65; d 2.074, 43.64 deg, I = 100; d 1.513, 61.27 deg, I = 63; d 1.223, 78.17 deg, I = 19; d 1.217, 78.62 deg, I = 19

Atomic structure:
abc: 7.2482 7.2482 5.8933
angles: 90.00 90.00 132.49
Fractional coordinates of all 14 atoms:
1 Ce 0.0858 0.9142 0.7500
2 Ce 0.9142 0.0858 0.2500
3 Mg 0.3850 0.6150 0.7500
4 Mg 0.6150 0.3850 0.2500
5 B 0.2635 0.7365 0.2500
6 B 0.7365 0.2635 0.7500
7 Rh 0.0000 0.5000 0.0000
8 Rh 0.0000 0.5000 0.5000
9 Rh 0.0976 0.9024 0.2500
10 Rh 0.4158 0.5842 0.2500
11 Rh 0.5000 0.0000 0.0000
12 Rh 0.5000 0.0000 0.5000
13 Rh 0.5842 0.4158 0.7500
14 Rh 0.9024 0.0976 0.7500

=====

Record 12
This entry pairs a crystal structure of BeZn2Cu6 with its theoretical XRD peak list. Radiation: Cu Kα, 1.54184 Å. Structure: DFT lattice parameters and positions (GGA-PBE).
Lines closer than 0.1° are merged.

Peak list (10 most intense, 10 to 90 degrees two-theta, sorted by position)
d 3.059, 29.19 deg, I = 15; d 2.328, 38.68 deg, I = 31; d 2.103, 43.01 deg, I = 48; d 2.064, 43.87 deg, I = 28; d 2.040, 44.41 deg, I = 100; d 1.968, 46.13 deg, I = 23; d 1.944, 46.73 deg, I = 39; d 1.727, 53.03 deg, I = 15; d 1.715, 53.43 deg, I = 21; d 1.695, 54.10 deg, I = 13

Atomic structure:
abc: 7.2133 7.2133 2.5173
angles: 90.08 90.08 58.01
Fractional coordinates of all 9 atoms:
1 Be 0.0000 0.0000 0.0000
2 Zn 0.3197 0.3197 0.5003
3 Zn 0.6803 0.6803 0.4997
4 Cu 0.0162 0.6658 0.9981
5 Cu 0.3059 0.6941 0.5000
6 Cu 0.3342 0.9838 0.0019
7 Cu 0.6658 0.0162 0.9981
8 Cu 0.6941 0.3059 0.5000
9 Cu 0.9838 0.3342 0.0019

=====

Record 13
This entry pairs a crystal structure of Cs2NiOsBr6 with its theoretical XRD peak list. Radiation: Cu Kα, 1.54184 Å. Structure: DFT lattice parameters and positions (GGA-PBE).
Lines closer than 0.1° are merged.

Peak list (10 most intense, 10 to 90 degrees two-theta, sorted by position)
d 6.150, 14.40 deg, I = 36; d 3.852, 23.09 deg, I = 74; d 3.609, 24.67 deg, I = 29; d 3.075, 29.04 deg, I = 78; d 2.936, 30.44 deg, I = 65; d 2.552, 35.17 deg, I = 100; d 2.127, 42.49 deg, I = 30; d 1.926, 47.19 deg, I = 76; d 1.804, 50.59 deg, I = 36; d 1.537, 60.19 deg, I = 36

Atomic structure:
abc: 7.7808 7.7808 7.7808
angles: 124.73 124.73 81.98
Fractional coordinates of all 10 atoms:
1 Cs 0.2500 0.7500 0.5000
2 Cs 0.7500 0.2500 0.5000
3 Ni 0.0000 0.0000 0.0000
4 Os 0.5000 0.5000 0.0000
5 Br 0.2468 0.2468 0.4936
6 Br 0.2468 0.7532 0.0000
7 Br 0.2828 0.2828 0.0000
8 Br 0.7172 0.7172 0.0000
9 Br 0.7532 0.2468 0.0000
10 Br 0.7532 0.7532 0.5064